Diffraction record for RbMg14Bi. The X-ray powder pattern is simulated, not measured: it uses a DFT-relaxed cell (PBE, Alexandria) and copper Kα.
Peak positions follow from Bragg's law for the DFT cell and can differ from measured ones.

Largest 6 diffraction maxima, in order of falling intensity, 10 to 90 degrees two-theta:
h k l	two_theta	intensity
2 2 2	35.41	100
1 0 2	17.48	47
0 0 4	31.00	33
0 0 2	15.35	31
2 0 2	22.74	27
1 2 2	32.16	24

Structure:
```
data_RbMg14Bi
_chemical_formula_sum 'Rb2 Mg28 Bi2'
_cell_length_a 10.6284
_cell_length_b 6.6504
_cell_length_c 11.5541
_cell_angle_alpha 90.00
_cell_angle_beta 90.00
_cell_angle_gamma 90.00
_space_group_name_H-M_alt 'A m m 2'
_space_group_IT_number 38
loop_
_space_group_symop_operation_xyz
'x,y,z'
'-x,-y,z'
'-x,y,z'
'x,-y,z'
'x,y+1/2,z+1/2'
'-x,-y+1/2,z+1/2'
'-x,y+1/2,z+1/2'
'x,-y+1/2,z+1/2'
loop_
_atom_site_label
_atom_site_type_symbol
_atom_site_fract_x
_atom_site_fract_y
_atom_site_fract_z
Rb1 Rb 0.0000 0.0000 0.0000
Mg1 Mg 0.0000 0.2414 0.2531
Mg2 Mg 0.2411 0.0000 0.6760
Mg3 Mg 0.2610 0.0000 0.1788
Mg4 Mg 0.2656 0.2457 0.4196
Mg5 Mg 0.5000 0.0000 0.0077
Mg6 Mg 0.5000 0.0000 0.5104
Mg7 Mg 0.5000 0.2457 0.7539
Bi1 Bi 0.0000 0.0000 0.4926
```

---

Diffraction record for MgBi2Rh2. The X-ray powder pattern is simulated, not measured: it uses a DFT-relaxed cell (PBE, Alexandria) and copper Kα.
Peak positions follow from Bragg's law for the DFT cell and can differ from measured ones.

Largest 6 diffraction maxima, in order of falling intensity, 10 to 90 degrees two-theta:
h k l	two_theta	intensity
1 1 3	38.78	100
0 1 1	21.07	32
1 3 3	69.99	26
0 2 0	38.60	26
2 2 0	56.02	26
2 0 0	39.01	25

Structure:
```
data_MgBi2Rh2
_chemical_formula_sum 'Mg2 Bi4 Rh4'
_cell_length_a 4.6178
_cell_length_b 4.6649
_cell_length_c 9.8599
_cell_angle_alpha 90.00
_cell_angle_beta 90.00
_cell_angle_gamma 90.00
_space_group_name_H-M_alt 'P m m n'
_space_group_IT_number 59
loop_
_space_group_symop_operation_xyz
'x,y,z'
'-x,-y,-z'
'-x+1/2,-y+1/2,z'
'x+1/2,y+1/2,-z'
'x+1/2,-y,-z'
'-x+1/2,y,z'
'-x,y+1/2,-z'
'x,-y+1/2,z'
loop_
_atom_site_label
_atom_site_type_symbol
_atom_site_fract_x
_atom_site_fract_y
_atom_site_fract_z
Mg1 Mg 0.2500 0.2500 0.1642
Bi1 Bi 0.2500 0.2500 0.4862
Bi2 Bi 0.2500 0.2500 0.8323
Rh1 Rh 0.2500 0.7500 0.0040
Rh2 Rh 0.2500 0.7500 0.3272
```

---

Diffraction record for Mg3BiRh4. The X-ray powder pattern is simulated, not measured: it uses a DFT-relaxed cell (PBE, Alexandria) and copper Kα.
Peak positions follow from Bragg's law for the DFT cell and can differ from measured ones.

Largest 6 diffraction maxima, in order of falling intensity, 10 to 90 degrees two-theta:
h k l	two_theta	intensity
1 1 0	40.05	100
3 0 0	72.76	34
0 0 3	12.03	18
2 0 8	57.94	17
0 1 2	24.21	16
1 0 1	23.17	14

Structure:
```
data_Mg3BiRh4
_chemical_formula_sum 'Mg9 Bi3 Rh12'
_cell_length_a 4.5003
_cell_length_b 4.5003
_cell_length_c 22.0741
_cell_angle_alpha 90.00
_cell_angle_beta 90.00
_cell_angle_gamma 120.00
_space_group_name_H-M_alt 'R -3 m'
_space_group_IT_number 166
_space_group_name_Hall '-R 3 2"'
loop_
_atom_site_label
_atom_site_type_symbol
_atom_site_fract_x
_atom_site_fract_y
_atom_site_fract_z
Mg1 Mg 0.0000 0.0000 0.0000
Mg2 Mg 0.0000 0.0000 0.2557
Bi1 Bi 0.0000 0.0000 0.5000
Rh1 Rh 0.0000 0.0000 0.1253
Rh2 Rh 0.0000 0.0000 0.3759
```

---

Diffraction record for MgBi2Rh. The X-ray powder pattern is simulated, not measured: it uses a DFT-relaxed cell (PBE, Alexandria) and copper Kα.
Peak positions follow from Bragg's law for the DFT cell and can differ from measured ones.

Largest 6 diffraction maxima, in order of falling intensity, 10 to 90 degrees two-theta:
h k l	two_theta	intensity
0 1 1	27.87	100
1 1 0	39.74	50
0 1 2	39.90	44
2 0 1	49.23	22
0 0 1	16.04	22
1 2 1	65.04	19

Structure:
```
data_MgBi2Rh
_chemical_formula_sum 'Mg1 Bi2 Rh1'
_cell_length_a 4.5368
_cell_length_b 4.5368
_cell_length_c 5.5241
_cell_angle_alpha 90.00
_cell_angle_beta 90.00
_cell_angle_gamma 120.00
_space_group_name_H-M_alt 'P -3 m 1'
_space_group_IT_number 164
_space_group_name_Hall '-P 3 2"'
loop_
_atom_site_label
_atom_site_type_symbol
_atom_site_fract_x
_atom_site_fract_y
_atom_site_fract_z
Mg1 Mg 0.0000 0.0000 0.0000
Bi1 Bi 0.3333 0.6667 0.7022
Rh1 Rh 0.0000 0.0000 0.5000
```